# 1
Diffraction record for La7Ho3Er. The X-ray powder pattern is computed, not measured: it uses DFT lattice parameters and positions (PBE) and a wavelength of 1.5418 Å.
Peak positions follow from Bragg's law for the DFT cell and can differ from measured ones.

Principal peaks in the range 2θ = 5–70°, sorted by position:
- (0 1 3), 2θ 24.33, 3.659 Å, rel. 16
- (2 0 0), 2θ 29.75, 3.003 Å, rel. 66
- (0 0 4), 2θ 30.86, 2.898 Å, rel. 34
- (0 4 0), 2θ 31.42, 2.847 Å, rel. 22
- (1 2 3), 2θ 31.70, 2.822 Å, rel. 68
- (1 3 2), 2θ 31.87, 2.808 Å, rel. 100
- (2 0 4), 2θ 43.39, 2.085 Å, rel. 26
- (2 4 0), 2θ 43.81, 2.066 Å, rel. 18
- (3 2 3), 2θ 54.04, 1.697 Å, rel. 15
- (3 3 2), 2θ 54.15, 1.694 Å, rel. 22
- (1 2 7), 2θ 60.20, 1.537 Å, rel. 16
- (1 7 2), 2θ 61.14, 1.516 Å, rel. 14

Lattice parameters (Å, degrees): 6.007 11.390 11.591 90.00 90.00 90.00
Space group Immm (No. 71)
One atom of each set of equivalent atoms:
La 0.000 0.000 0.000 [2 per cell]
La 0.000 0.210 0.500 [4 per cell]
La 0.000 0.307 0.213 [8 per cell]
Ho 0.000 0.000 0.295 [4 per cell]
Ho 0.000 0.500 0.000 [2 per cell]
Er 0.000 0.500 0.500 [2 per cell]

# 2
Diffraction record for Nd4OsPd. The X-ray powder pattern is computed, not measured: it uses DFT lattice parameters and positions (PBE) and a wavelength of 1.5418 Å.
Peak positions follow from Bragg's law for the DFT cell and can differ from measured ones.

Principal peaks in the range 2θ = 5–70°, sorted by position:
- (0 2 2), 2θ 21.54, 4.126 Å, rel. 23
- (2 0 2), 2θ 22.00, 4.041 Å, rel. 20
- (2 2 0), 2θ 25.15, 3.542 Å, rel. 12
- (0 4 0), 2θ 35.28, 2.544 Å, rel. 23
- (2 2 4), 2θ 35.95, 2.498 Å, rel. 100
- (4 0 0), 2θ 36.43, 2.466 Å, rel. 24
- (2 0 6), 2θ 42.69, 2.118 Å, rel. 14
- (4 4 0), 2θ 51.62, 1.771 Å, rel. 15
- (0 0 8), 2θ 51.89, 1.762 Å, rel. 9
- (2 6 4), 2θ 63.76, 1.460 Å, rel. 15
- (4 0 8), 2θ 65.06, 1.434 Å, rel. 9
- (6 2 4), 2θ 65.25, 1.430 Å, rel. 17

Lattice parameters (Å, degrees): 9.865 10.177 14.097 90.00 90.00 90.00
Space group Fddd (No. 70, origin choice 2)
One atom of each set of equivalent atoms:
Nd 0.115 0.355 0.499 [32 per cell]
Os 0.125 0.125 0.625 [8 per cell]
Pd 0.125 0.125 0.125 [8 per cell]

# 3
Diffraction record for Cu2TcBr. The X-ray powder pattern is computed, not measured: it uses DFT lattice parameters and positions (PBE) and a wavelength of 1.5418 Å.
Peak positions follow from Bragg's law for the DFT cell and can differ from measured ones.

Principal peaks in the range 2θ = 5–70°, sorted by position:
- (0 0 1), 2θ 13.24, 6.686 Å, rel. 21
- (0 0 2), 2θ 26.66, 3.343 Å, rel. 5
- (1 0 1), 2θ 32.05, 2.792 Å, rel. 7
- (1 0 2), 2θ 39.84, 2.262 Å, rel. 100
- (0 0 3), 2θ 40.47, 2.229 Å, rel. 3
- (1 1 0), 2θ 41.56, 2.173 Å, rel. 57
- (1 1 1), 2θ 43.81, 2.067 Å, rel. 4
- (1 1 2), 2θ 50.07, 1.822 Å, rel. 3
- (1 0 3), 2θ 50.59, 1.804 Å, rel. 18
- (0 0 4), 2θ 54.93, 1.672 Å, rel. 5
- (1 1 3), 2θ 59.40, 1.556 Å, rel. 4
- (2 0 0), 2θ 60.23, 1.537 Å, rel. 18

Lattice parameters (Å, degrees): 3.073 3.073 6.686 90.00 90.00 90.00
Space group P4mm (No. 99)
One atom of each set of equivalent atoms:
Cu 0.000 0.000 0.000 [1 per cell]
Cu 0.500 0.500 0.177 [1 per cell]
Tc 0.000 0.000 0.408 [1 per cell]
Br 0.500 0.500 0.639 [1 per cell]

# 4
Diffraction record for PdC2N2. The X-ray powder pattern is computed, not measured: it uses DFT lattice parameters and positions (PBE) and a wavelength of 1.5418 Å.
Peak positions follow from Bragg's law for the DFT cell and can differ from measured ones.

Principal peaks in the range 2θ = 5–70°, sorted by position:
- (1 1 0), 2θ 18.89, 4.697 Å, rel. 100
- (2 0 0), 2θ 26.84, 3.321 Å, rel. 17
- (1 0 1), 2θ 28.49, 3.133 Å, rel. 51
- (2 2 0), 2θ 38.33, 2.349 Å, rel. 19
- (2 1 1), 2θ 39.54, 2.279 Å, rel. 51
- (3 1 0), 2θ 43.06, 2.101 Å, rel. 14
- (3 0 1), 2θ 48.44, 1.879 Å, rel. 17
- (1 1 2), 2θ 55.30, 1.661 Å, rel. 15
- (3 2 1), 2θ 56.25, 1.636 Å, rel. 17
- (3 3 0), 2θ 58.98, 1.566 Å, rel. 11
- (4 1 1), 2θ 63.39, 1.467 Å, rel. 14
- (3 1 2), 2θ 69.27, 1.356 Å, rel. 7

Lattice parameters (Å, degrees): 6.643 6.643 3.553 90.00 90.00 90.00
Space group P4_2/mnm (No. 136)
One atom of each set of equivalent atoms:
Pd 0.000 0.000 0.000 [2 per cell]
C 0.211 0.211 0.000 [4 per cell]
N 0.163 0.837 0.500 [4 per cell]

# 5
Diffraction record for CsErTi2O6. The X-ray powder pattern is computed, not measured: it uses DFT lattice parameters and positions (PBE) and a wavelength of 1.5418 Å.
Peak positions follow from Bragg's law for the DFT cell and can differ from measured ones.

Principal peaks in the range 2θ = 5–70°, sorted by position:
- (1 1 0), 2θ 12.17, 7.274 Å, rel. 22
- (1 1 -1), 2θ 15.97, 5.549 Å, rel. 29
- (2 0 0), 2θ 20.05, 4.428 Å, rel. 100
- (1 3 0), 2θ 23.21, 3.833 Å, rel. 42
- (2 2 0), 2θ 24.47, 3.637 Å, rel. 28
- (1 3 -1), 2θ 25.45, 3.500 Å, rel. 85
- (1 1 -2), 2θ 28.01, 3.186 Å, rel. 41
- (0 0 2), 2θ 28.94, 3.086 Å, rel. 56
- (1 3 1), 2θ 29.21, 3.057 Å, rel. 82
- (3 1 0), 2θ 31.10, 2.876 Å, rel. 30
- (2 4 -1), 2θ 34.78, 2.580 Å, rel. 30
- (3 3 -1), 2θ 35.73, 2.513 Å, rel. 23

Lattice parameters (Å, degrees): 9.440 12.755 6.580 90.00 110.25 90.00
Space group C2/c (No. 15)
One atom of each set of equivalent atoms:
Cs 0.000 0.103 0.250 [4 per cell]
Er 0.000 0.215 0.750 [4 per cell]
Ti 0.136 0.429 0.152 [8 per cell]
O 0.066 0.302 0.040 [8 per cell]
O 0.118 0.475 0.428 [8 per cell]
O 0.162 0.101 0.744 [8 per cell]

# 6
Diffraction record for TlHPdPt. The X-ray powder pattern is computed, not measured: it uses DFT lattice parameters and positions (PBE) and a wavelength of 1.5418 Å.
Peak positions follow from Bragg's law for the DFT cell and can differ from measured ones.

Principal peaks in the range 2θ = 5–70°, sorted by position:
- (0 0 2), 2θ 17.89, 4.957 Å, rel. 10
- (0 1 1), 2θ 27.46, 3.248 Å, rel. 7
- (1 0 1), 2θ 27.87, 3.201 Å, rel. 6
- (1 1 0), 2θ 37.30, 2.411 Å, rel. 100
- (0 1 3), 2θ 37.76, 2.383 Å, rel. 96
- (1 0 3), 2θ 38.07, 2.364 Å, rel. 94
- (0 2 0), 2θ 53.29, 1.719 Å, rel. 20
- (2 0 0), 2θ 54.25, 1.691 Å, rel. 17
- (0 0 6), 2θ 55.62, 1.652 Å, rel. 15
- (1 2 3), 2θ 67.35, 1.390 Å, rel. 36
- (2 1 3), 2θ 67.98, 1.379 Å, rel. 35
- (1 1 6), 2θ 68.89, 1.363 Å, rel. 33

Lattice parameters (Å, degrees): 3.382 3.438 9.914 90.00 90.00 90.00
Space group Imm2 (No. 44)
One atom of each set of equivalent atoms:
Tl 0.000 0.000 0.000 [2 per cell]
H 0.000 0.500 0.761 [2 per cell]
Pd 0.000 0.000 0.655 [2 per cell]
Pt 0.000 0.000 0.335 [2 per cell]

# 7
Diffraction record for Li2ErAg. The X-ray powder pattern is computed, not measured: it uses DFT lattice parameters and positions (PBE) and a wavelength of 1.5418 Å.
Peak positions follow from Bragg's law for the DFT cell and can differ from measured ones.

Principal peaks in the range 2θ = 5–70°, sorted by position:
- (0 0 1), 2θ 17.35, 5.110 Å, rel. 100
- (1 1 0), 2θ 30.61, 2.921 Å, rel. 51
- (0 0 2), 2θ 35.12, 2.555 Å, rel. 20
- (1 1 1), 2θ 35.40, 2.536 Å, rel. 80
- (2 0 0), 2θ 43.83, 2.065 Å, rel. 22
- (1 1 2), 2θ 47.27, 1.923 Å, rel. 30
- (2 0 1), 2θ 47.48, 1.915 Å, rel. 30
- (0 0 3), 2θ 53.82, 1.703 Å, rel. 5
- (2 0 2), 2θ 57.37, 1.606 Å, rel. 19
- (1 1 3), 2θ 63.19, 1.471 Å, rel. 14
- (2 2 0), 2θ 63.72, 1.460 Å, rel. 7
- (2 2 1), 2θ 66.60, 1.404 Å, rel. 11

Lattice parameters (Å, degrees): 4.131 4.131 5.110 90.00 90.00 90.00
Space group P4/mmm (No. 123)
One atom of each set of equivalent atoms:
Li 0.000 0.500 0.000 [2 per cell]
Er 0.000 0.000 0.500 [1 per cell]
Ag 0.500 0.500 0.500 [1 per cell]

# 8
Diffraction record for Ta2Ga4Ir. The X-ray powder pattern is computed, not measured: it uses DFT lattice parameters and positions (PBE) and a wavelength of 1.5418 Å.
Peak positions follow from Bragg's law for the DFT cell and can differ from measured ones.

Principal peaks in the range 2θ = 5–70°, sorted by position:
- (0 0 1), 2θ 16.05, 5.522 Å, rel. 36
- (2 0 -2), 2θ 29.49, 3.029 Å, rel. 41
- (1 1 -1), 2θ 33.70, 2.659 Å, rel. 92
- (3 1 -1), 2θ 36.54, 2.459 Å, rel. 66
- (4 0 1), 2θ 37.27, 2.413 Å, rel. 52
- (6 0 -1), 2θ 37.60, 2.392 Å, rel. 39
- (6 0 -2), 2θ 40.84, 2.210 Å, rel. 69
- (3 1 1), 2θ 43.76, 2.069 Å, rel. 100
- (5 1 -1), 2θ 43.99, 2.058 Å, rel. 36
- (2 0 -3), 2θ 45.36, 1.999 Å, rel. 35
- (3 1 -3), 2θ 55.05, 1.668 Å, rel. 41
- (0 2 0), 2θ 62.78, 1.480 Å, rel. 44

Lattice parameters (Å, degrees): 14.357 2.960 6.058 90.00 114.29 90.00
Space group C2/m (No. 12)
One atom of each set of equivalent atoms:
Ta 0.228 0.000 0.210 [4 per cell]
Ga 0.098 0.000 0.737 [4 per cell]
Ga 0.100 0.500 0.363 [4 per cell]
Ir 0.000 0.000 0.000 [2 per cell]

# 9
Diffraction record for Cs2U2NiSe6. The X-ray powder pattern is computed, not measured: it uses DFT lattice parameters and positions (PBE) and a wavelength of 1.5418 Å.
Peak positions follow from Bragg's law for the DFT cell and can differ from measured ones.

Principal peaks in the range 2θ = 5–70°, sorted by position:
- (0 0 1), 2θ 10.55, 8.386 Å, rel. 94
- (1 1 -1), 2θ 16.02, 5.533 Å, rel. 17
- (1 1 1), 2θ 19.57, 4.535 Å, rel. 15
- (0 0 2), 2θ 21.19, 4.193 Å, rel. 24
- (0 2 2), 2θ 26.56, 3.356 Å, rel. 26
- (2 0 -2), 2θ 28.04, 3.182 Å, rel. 71
- (1 3 1), 2θ 29.97, 2.981 Å, rel. 100
- (2 0 2), 2θ 36.26, 2.478 Å, rel. 42
- (1 3 -3), 2θ 39.74, 2.268 Å, rel. 40
- (3 3 -1), 2θ 43.20, 2.094 Å, rel. 43
- (2 0 -4), 2θ 44.15, 2.051 Å, rel. 21
- (1 3 3), 2θ 44.59, 2.032 Å, rel. 17

Lattice parameters (Å, degrees): 7.598 11.191 8.653 90.00 104.26 90.00
Space group C2/m (No. 12)
One atom of each set of equivalent atoms:
Cs 0.000 0.195 0.000 [4 per cell]
U 0.000 0.336 0.500 [4 per cell]
Ni 0.000 0.000 0.500 [2 per cell]
Se 0.166 0.500 0.735 [4 per cell]
Se 0.205 0.148 0.660 [8 per cell]

# 10
Diffraction record for La2ThMg. The X-ray powder pattern is computed, not measured: it uses DFT lattice parameters and positions (PBE) and a wavelength of 1.5418 Å.
Peak positions follow from Bragg's law for the DFT cell and can differ from measured ones.

Principal peaks in the range 2θ = 5–70°, sorted by position:
- (0 0 1), 2θ 9.13, 9.685 Å, rel. 49
- (1 0 1), 2θ 26.02, 3.425 Å, rel. 23
- (1 0 2), 2θ 30.61, 2.921 Å, rel. 100
- (1 1 0), 2θ 34.65, 2.589 Å, rel. 36
- (1 1 1), 2θ 35.90, 2.501 Å, rel. 9
- (0 0 4), 2θ 37.13, 2.421 Å, rel. 22
- (1 1 3), 2θ 44.88, 2.020 Å, rel. 6
- (2 0 0), 2θ 49.81, 1.831 Å, rel. 13
- (1 1 4), 2θ 51.69, 1.768 Å, rel. 23
- (2 1 2), 2θ 59.60, 1.551 Å, rel. 32
- (1 0 6), 2θ 62.93, 1.477 Å, rel. 13
- (2 0 4), 2θ 63.73, 1.460 Å, rel. 15

Lattice parameters (Å, degrees): 3.662 3.662 9.685 90.00 90.00 90.00
Space group P4/mmm (No. 123)
One atom of each set of equivalent atoms:
La 0.000 0.000 0.246 [2 per cell]
Th 0.500 0.500 0.500 [1 per cell]
Mg 0.500 0.500 0.000 [1 per cell]